For Th2Ge4Rh5, a cell relaxed with GGA-PBE gives the calculated powder X-ray diffraction pattern in this record (copper Kα).
Neutral-atom scattering factors, no anomalous dispersion.

Structure:
abc: 5.6898 9.7534 14.6853
angles: 90.00 90.00 90.00
Space group Fmmm (No. 69)
Asymmetric unit:
Th: 0.0000 0.0000 0.1336
Ge: 0.0000 0.1526 0.3685
Rh: 0.0000 0.0000 0.5000
Rh: 0.2500 0.2500 0.0000
Rh: 0.2500 0.2500 0.2500

Top 10 peaks for 10 to 80 degrees two-theta, by angle:
2θ (°)  intensity  (hkl)
25.7  54  1 1 3
30.5  68  0 2 4
32.3  42  1 3 1
36.6  75  2 2 0
36.8  100  1 3 3
40.1  85  2 0 4
44.5  33  1 3 5
49.7  31  0 0 8
63.2  28  2 2 8
66.2  27  2 6 0